[1]
# TlS
Simulated XRD peak list, λ = 1.5418 Å (Cu Kα). Input: a DFT-relaxed cell (GGA-PBE, the Materials Project).

The 6 most intense peaks (2θ from 10° to 90°), by angle:
d (Å)	2θ (°)	Rel. int.
3.596	24.8	61
2.542	35.3	100
2.076	43.6	20
1.798	50.8	18
1.608	57.3	27
1.468	63.4	37

a = 3.596 Å, b = 3.596 Å, c = 3.596 Å
α = 90.00°, β = 90.00°, γ = 90.00°
Sites, in units of the cell vectors:
Tl: 0.000 0.000 0.000
S: 0.500 0.500 0.500

=====

[2]
# Tl3S
Simulated XRD peak list, λ = 1.5418 Å (Cu Kα). Input: a DFT-relaxed cell (GGA-PBE, the Materials Project).

The 6 most intense peaks (2θ from 10° to 90°), by angle:
d (Å)	2θ (°)	Rel. int.
4.109	21.6	26
2.917	30.7	23
2.894	30.9	30
2.605	34.4	100
1.609	57.2	24
1.456	64.0	22

a = 6.736 Å, b = 6.736 Å, c = 5.788 Å
α = 90.00°, β = 90.00°, γ = 120.00°
Sites, in units of the cell vectors:
Tl: 0.172 0.343 0.250
Tl: 0.172 0.828 0.250
Tl: 0.343 0.172 0.750
Tl: 0.657 0.828 0.250
Tl: 0.828 0.172 0.750
Tl: 0.828 0.657 0.750
S: 0.333 0.667 0.750
S: 0.667 0.333 0.250